[1]
Structure and computed powder diffractogram of YBiO2F2 (a DFT-relaxed cell (GGA-PBE, the Materials Project); a wavelength of 1.5418 Å).
Intensities are scaled so that the largest is 100.

Crystal structure
```
data_YBiO2F2
_cell_length_a 3.928
_cell_length_b 3.928
_cell_length_c 5.615
_cell_angle_alpha 90.00
_cell_angle_beta 90.00
_cell_angle_gamma 90.00
_space_group_name_H-M_alt 'P -4 m 2'
_space_group_IT_number 115
_space_group_name_Hall 'P -4 -2'
loop_
_atom_site_label
_atom_site_type_symbol
_atom_site_fract_x
_atom_site_fract_y
_atom_site_fract_z
Y1 Y 0.000 0.000 0.000
Bi1 Bi 0.500 0.500 0.500
O1 O 0.000 0.500 0.746
F1 F 0.000 0.500 0.220
```

Principal peaks in the range 2θ = 5–70°, by angle:
2θ/deg	d/Å	Rel. int.	(hkl)
27.7	3.219	100	1 0 1
32.2	2.778	19	1 1 0
46.0	1.975	38	1 1 2
46.2	1.964	19	2 0 0
54.3	1.690	16	1 0 3
54.7	1.677	31	2 1 1

---

[2]
Structure and computed powder diffractogram of Eu2Cd2As3 (a DFT-relaxed cell (GGA-PBE, the Materials Project); a wavelength of 1.5418 Å).
Intensities are scaled so that the largest is 100.

Crystal structure
```
data_Eu2Cd2As3
_cell_length_a 16.334
_cell_length_b 4.471
_cell_length_c 12.338
_cell_angle_alpha 90.00
_cell_angle_beta 126.41
_cell_angle_gamma 90.00
_space_group_name_H-M_alt 'C 1 2/m 1'
_space_group_IT_number 12
_space_group_name_Hall '-C 2y'
loop_
_atom_site_label
_atom_site_type_symbol
_atom_site_fract_x
_atom_site_fract_y
_atom_site_fract_z
Eu1 Eu 0.106 0.000 0.452
Eu2 Eu 0.231 0.000 0.829
Cd1 Cd 0.047 0.500 0.815
Cd2 Cd 0.092 0.000 0.158
As1 As 0.082 0.500 0.620
As2 As 0.129 0.000 0.972
As3 As 0.162 0.500 0.319
```

Principal peaks in the range 2θ = 5–70°, by angle:
2θ/deg	d/Å	Rel. int.	(hkl)
26.0	3.431	63	3 1 -1
29.8	2.994	57	3 1 -3
33.5	2.677	100	3 1 1
35.0	2.562	50	6 0 -4
35.4	2.538	94	3 1 -4
40.3	2.236	71	0 2 0

---

[3]
Structure and computed powder diffractogram of Ti2Te2C (a DFT-relaxed cell (GGA-PBE, the Materials Project); a wavelength of 1.5418 Å).
Intensities are scaled so that the largest is 100.

Crystal structure
```
data_Ti2Te2C
_cell_length_a 3.2708
_cell_length_b 3.2708
_cell_length_c 11.7893
_cell_angle_alpha 90.00
_cell_angle_beta 90.00
_cell_angle_gamma 120.00
_space_group_name_H-M_alt 'P -3 m 1'
_space_group_IT_number 164
_space_group_name_Hall '-P 3 2"'
loop_
_atom_site_label
_atom_site_type_symbol
_atom_site_fract_x
_atom_site_fract_y
_atom_site_fract_z
Ti1 Ti 0.3333 0.6667 0.0865
Te1 Te 0.3333 0.6667 0.3212
C1 C 0.0000 0.0000 0.0000
```

Principal peaks in the range 2θ = 5–70°, by angle:
2θ/deg	d/Å	Rel. int.	(hkl)
22.6	3.930	46	0 0 3
31.6	2.833	25	1 0 0
32.5	2.754	100	0 1 1
35.2	2.553	19	1 0 2
44.4	2.042	59	0 1 4
56.3	1.635	22	1 1 0

---

[4]
Structure and computed powder diffractogram of Cs2Sb (a DFT-relaxed cell (GGA-PBE, the Materials Project); a wavelength of 1.5418 Å).
Intensities are scaled so that the largest is 100.

Crystal structure
```
data_Cs2Sb
_cell_length_a 16.476
_cell_length_b 6.497
_cell_length_c 11.356
_cell_angle_alpha 90.00
_cell_angle_beta 90.00
_cell_angle_gamma 90.00
_space_group_name_H-M_alt 'P n m a'
_space_group_IT_number 62
_space_group_name_Hall '-P 2ac 2n'
loop_
_atom_site_label
_atom_site_type_symbol
_atom_site_fract_x
_atom_site_fract_y
_atom_site_fract_z
Cs1 Cs 0.007 0.250 0.167
Cs2 Cs 0.060 0.750 0.413
Cs3 Cs 0.204 0.250 0.906
Cs4 Cs 0.245 0.750 0.739
Sb1 Sb 0.157 0.750 0.091
Sb2 Sb 0.164 0.250 0.563
```

Principal peaks in the range 2θ = 5–70°, by angle:
2θ/deg	d/Å	Rel. int.	(hkl)
21.5	4.138	27	1 1 2
26.4	3.374	43	3 1 2
26.8	3.328	59	4 1 1
27.3	3.271	100	0 1 3
27.5	3.249	75	0 2 0
31.4	2.846	56	5 1 1

---

[5]
Structure and computed powder diffractogram of ZnFeMo12S16 (a DFT-relaxed cell (GGA-PBE, the Materials Project); a wavelength of 1.5418 Å).
Intensities are scaled so that the largest is 100.

Crystal structure
```
data_ZnFeMo12S16
_cell_length_a 9.4719
_cell_length_b 9.4719
_cell_length_c 21.1926
_cell_angle_alpha 90.00
_cell_angle_beta 90.00
_cell_angle_gamma 120.00
_space_group_name_H-M_alt 'R -3'
_space_group_IT_number 148
_space_group_name_Hall '-R 3'
loop_
_atom_site_label
_atom_site_type_symbol
_atom_site_fract_x
_atom_site_fract_y
_atom_site_fract_z
Zn1 Zn 0.0000 0.0000 0.0000
Fe1 Fe 0.0000 0.0000 0.5000
Mo1 Mo 0.0173 0.8435 0.8043
Mo2 Mo 0.0180 0.8442 0.3039
S1 S 0.0000 0.0000 0.1077
S2 S 0.0000 0.0000 0.3932
S3 S 0.0143 0.6261 0.8727
S4 S 0.0163 0.6291 0.3732
```

Principal peaks in the range 2θ = 5–70°, by angle:
2θ/deg	d/Å	Rel. int.	(hkl)
13.7	6.486	100	0 1 2
30.0	2.976	29	3 -2 2
33.5	2.676	35	3 -1 4
40.6	2.224	45	4 -1 2
44.1	2.052	23	1 0 10
46.2	1.967	47	2 2 6

---

[6]
Structure and computed powder diffractogram of RbHfF5 (a DFT-relaxed cell (GGA-PBE, the Materials Project); a wavelength of 1.5418 Å).
Intensities are scaled so that the largest is 100.

Crystal structure
```
data_RbHfF5
_cell_length_a 13.559
_cell_length_b 8.003
_cell_length_c 7.996
_cell_angle_alpha 90.00
_cell_angle_beta 90.00
_cell_angle_gamma 90.00
_space_group_name_H-M_alt 'C m c e'
_space_group_IT_number 64
_space_group_name_Hall '-C 2ac 2'
loop_
_atom_site_label
_atom_site_type_symbol
_atom_site_fract_x
_atom_site_fract_y
_atom_site_fract_z
Rb1 Rb 0.205 0.000 0.000
Hf1 Hf 0.000 0.162 0.339
F1 F 0.000 0.061 0.790
F2 F 0.000 0.211 0.063
F3 F 0.087 0.000 0.500
F4 F 0.143 0.213 0.290
```

Principal peaks in the range 2θ = 5–70°, by angle:
2θ/deg	d/Å	Rel. int.	(hkl)
13.1	6.780	90	2 0 0
24.9	3.578	39	0 2 1
25.2	3.531	39	3 1 1
25.8	3.454	100	2 2 0
28.2	3.165	41	2 2 1
49.3	1.850	42	5 3 1

---

[7]
Structure and computed powder diffractogram of ZnGe3 (a DFT-relaxed cell (GGA-PBE, the Materials Project); a wavelength of 1.5418 Å).
Intensities are scaled so that the largest is 100.

Crystal structure
```
data_ZnGe3
_cell_length_a 4.222
_cell_length_b 4.222
_cell_length_c 4.222
_cell_angle_alpha 90.00
_cell_angle_beta 90.00
_cell_angle_gamma 90.00
_space_group_name_H-M_alt 'P m -3 m'
_space_group_IT_number 221
_space_group_name_Hall '-P 4 2 3'
loop_
_atom_site_label
_atom_site_type_symbol
_atom_site_fract_x
_atom_site_fract_y
_atom_site_fract_z
Zn1 Zn 0.000 0.000 0.000
Ge1 Ge 0.000 0.500 0.500
```

Principal peaks in the range 2θ = 5–70°, by angle:
2θ/deg	d/Å	Rel. int.	(hkl)
36.9	2.438	100	1 1 1
42.8	2.111	49	2 0 0
62.2	1.493	31	2 2 0